# 1
Diffraction record for Sm3Cd3Rh. The X-ray powder pattern is theoretical, not measured: it uses the PBE geometry in Alexandria and a wavelength of 1.5418 Å.
Lines closer than 0.1° are merged.

Atomic structure:
a b c (Å): 14.351 14.351 14.351
angles (deg): 90.00 90.00 90.00
Space group Fd-3m (No. 227, origin choice 2)
Asymmetric unit:
Sm 0.082 0.375 0.375
Cd 0.000 0.000 0.500
Cd 0.043 0.043 0.707
Rh 0.000 0.000 0.000

Largest 12 diffraction maxima, in order of rising 2θ, 10° ≤ 2θ ≤ 90°:
Position (°2θ)	I_rel	hkl
30.5	40	4 2 2
32.4	100	3 3 3
35.4	92	4 4 0
37.6	12	4 4 2
41.8	19	6 2 2
48.7	17	7 3 1
54.2	37	6 6 0
55.5	11	5 5 5
64.6	19	7 7 1
67.5	13	7 7 3
67.9	13	10 2 2
83.0	13	12 2 2



# 2
Diffraction record for CdSn4Rh7. The X-ray powder pattern is theoretical, not measured: it uses the PBE geometry in Alexandria and a wavelength of 1.5418 Å.
Lines closer than 0.1° are merged.

Atomic structure:
a b c (Å): 12.236 4.799 9.362
angles (deg): 90.00 125.85 90.00
Space group C2/m (No. 12)
Asymmetric unit:
Cd 0.000 0.000 0.000
Sn 0.083 0.500 0.784
Sn 0.222 0.500 0.335
Rh 0.000 0.500 0.000
Rh 0.077 0.000 0.329
Rh 0.139 0.500 0.553
Rh 0.209 0.000 0.877

Largest 12 diffraction maxima, in order of rising 2θ, 10° ≤ 2θ ≤ 90°:
Position (°2θ)	I_rel	hkl
29.0	32	3 1 -1
32.6	46	4 0 -3
37.5	92	0 2 0
39.7	56	2 0 -4
40.2	100	3 1 1
42.4	67	5 1 -3
47.2	22	1 1 -4
50.5	27	4 2 -3
55.7	42	2 2 -4
63.9	16	8 0 -2
69.5	20	3 3 1
76.5	20	8 2 -2